(1)
For MnHg4S5, a structure optimized by DFT (PBE) gives the simulated X-ray powder pattern in this record (Cu Kα, 1.54184 Å).
Kinematic intensities with the Lorentz-polarization factor, no thermal factor.

Peak list (10 most intense, 15 to 90 degrees two-theta, sorted by position)
two_theta, I (rel.)
26.1, 1000
30.2, 107
30.3, 217
43.3, 519
51.2, 144
51.3, 321
53.7, 90
69.2, 117
79.5, 116
85.4, 78

Crystal structure
```
data_MnHg4S5
_chemical_formula_sum 'Mn2 Hg8 S10'
_space_group_name_H-M_alt 'I -4 m 2'
_space_group_IT_number 119
_space_group_name_Hall 'I -4 -2'
_cell_length_a 4.175
_cell_length_b 4.175
_cell_length_c 29.632
_cell_angle_alpha 90.00
_cell_angle_beta 90.00
_cell_angle_gamma 90.00
loop_
_atom_site_label
_atom_site_type_symbol
_atom_site_fract_x
_atom_site_fract_y
_atom_site_fract_z
Mn1 Mn 0.000 0.000 0.000
Hg1 Hg 0.000 0.000 0.198
Hg2 Hg 0.000 0.000 0.405
S1 S 0.000 0.500 0.042
S2 S 0.000 0.500 0.250
S3 S 0.000 0.500 0.646
```

---

(2)
For MnSn2HgSe4, a structure optimized by DFT (PBE) gives the simulated X-ray powder pattern in this record (Cu Kα, 1.54184 Å).
Kinematic intensities with the Lorentz-polarization factor, no thermal factor.

Peak list (10 most intense, 15 to 90 degrees two-theta, sorted by position)
two_theta, I (rel.)
30.3, 520
30.8, 1000
43.4, 381
44.2, 731
53.8, 95
54.5, 199
55.3, 90
64.2, 126
73.0, 159
80.2, 118

Crystal structure
```
data_MnSn2HgSe4
_chemical_formula_sum 'Mn1 Sn2 Hg1 Se4'
_space_group_name_H-M_alt 'P 1 2/m 1'
_space_group_IT_number 10
_space_group_name_Hall '-P 2y'
_cell_length_a 7.094
_cell_length_b 4.102
_cell_length_c 7.268
_cell_angle_alpha 90.00
_cell_angle_beta 110.38
_cell_angle_gamma 90.00
loop_
_atom_site_label
_atom_site_type_symbol
_atom_site_fract_x
_atom_site_fract_y
_atom_site_fract_z
Mn1 Mn 0.000 0.000 0.000
Sn1 Sn 0.500 0.000 0.500
Sn2 Sn 0.500 0.500 0.000
Hg1 Hg 0.000 0.500 0.500
Se1 Se 0.229 0.500 0.222
Se2 Se 0.235 0.000 0.761
```

---

(3)
For SrMn2HgSe4, a structure optimized by DFT (PBE) gives the simulated X-ray powder pattern in this record (Cu Kα, 1.54184 Å).
Kinematic intensities with the Lorentz-polarization factor, no thermal factor.

Peak list (10 most intense, 15 to 90 degrees two-theta, sorted by position)
two_theta, I (rel.)
23.8, 200
24.3, 313
27.6, 214
32.1, 1000
34.9, 321
41.7, 243
44.1, 175
45.0, 230
47.9, 239
53.6, 195

Crystal structure
```
data_SrMn2HgSe4
_chemical_formula_sum 'Sr4 Mn8 Hg4 Se16'
_space_group_name_H-M_alt 'C m c m'
_space_group_IT_number 63
_space_group_name_Hall '-C 2c 2'
_cell_length_a 4.029
_cell_length_b 13.693
_cell_length_c 14.633
_cell_angle_alpha 90.00
_cell_angle_beta 90.00
_cell_angle_gamma 90.00
loop_
_atom_site_label
_atom_site_type_symbol
_atom_site_fract_x
_atom_site_fract_y
_atom_site_fract_z
Sr1 Sr 0.000 0.154 0.250
Mn1 Mn 0.000 0.377 0.042
Hg1 Hg 0.000 0.131 0.750
Se1 Se 0.000 0.000 0.000
Se2 Se 0.000 0.250 0.603
Se3 Se 0.000 0.490 0.250
```

---

(4)
For MnHg2Te3, a structure optimized by DFT (PBE) gives the simulated X-ray powder pattern in this record (Cu Kα, 1.54184 Å).
Kinematic intensities with the Lorentz-polarization factor, no thermal factor.

Peak list (10 most intense, 15 to 90 degrees two-theta, sorted by position)
two_theta, I (rel.)
23.5, 1000
23.8, 302
38.8, 514
39.1, 523
45.8, 171
46.0, 314
46.3, 147
56.3, 182
61.6, 142
70.4, 186

Crystal structure
```
data_MnHg2Te3
_chemical_formula_sum 'Mn1 Hg2 Te3'
_space_group_name_H-M_alt 'P 3 m 1'
_space_group_IT_number 156
_space_group_name_Hall 'P 3 -2"'
_cell_length_a 4.6443
_cell_length_b 4.6443
_cell_length_c 11.2265
_cell_angle_alpha 90.00
_cell_angle_beta 90.00
_cell_angle_gamma 120.00
loop_
_atom_site_label
_atom_site_type_symbol
_atom_site_fract_x
_atom_site_fract_y
_atom_site_fract_z
Mn1 Mn 0.0000 0.0000 0.0000
Hg1 Hg 0.3333 0.6667 0.6781
Hg2 Hg 0.6667 0.3333 0.3336
Te1 Te 0.0000 0.0000 0.2422
Te2 Te 0.3333 0.6667 0.9351
Te3 Te 0.6667 0.3333 0.5885
```

---

(5)
For MnHg4Te5, a structure optimized by DFT (PBE) gives the simulated X-ray powder pattern in this record (Cu Kα, 1.54184 Å).
Kinematic intensities with the Lorentz-polarization factor, no thermal factor.

Peak list (10 most intense, 15 to 90 degrees two-theta, sorted by position)
two_theta, I (rel.)
22.0, 1000
23.4, 534
25.0, 728
32.4, 390
38.7, 930
42.1, 822
45.7, 551
58.5, 312
65.7, 171
72.3, 334

Crystal structure
```
data_MnHg4Te5
_chemical_formula_sum 'Mn2 Hg8 Te10'
_space_group_name_H-M_alt 'P 3 m 1'
_space_group_IT_number 156
_space_group_name_Hall 'P 3 -2"'
_cell_length_a 4.6590
_cell_length_b 4.6590
_cell_length_c 37.9635
_cell_angle_alpha 90.00
_cell_angle_beta 90.00
_cell_angle_gamma 120.00
loop_
_atom_site_label
_atom_site_type_symbol
_atom_site_fract_x
_atom_site_fract_y
_atom_site_fract_z
Mn1 Mn 0.0000 0.0000 0.0000
Mn2 Mn 0.0000 0.0000 0.1941
Hg1 Hg 0.0000 0.0000 0.3914
Hg2 Hg 0.0000 0.0000 0.5953
Hg3 Hg 0.0000 0.0000 0.7992
Hg4 Hg 0.3333 0.6667 0.0948
Hg5 Hg 0.3333 0.6667 0.2893
Hg6 Hg 0.3333 0.6667 0.4934
Hg7 Hg 0.3333 0.6667 0.6973
Hg8 Hg 0.3333 0.6667 0.9009
Te1 Te 0.0000 0.0000 0.1221
Te2 Te 0.0000 0.0000 0.3155
Te3 Te 0.0000 0.0000 0.5195
Te4 Te 0.0000 0.0000 0.7235
Te5 Te 0.0000 0.0000 0.9281
Te6 Te 0.3333 0.6667 0.0190
Te7 Te 0.3333 0.6667 0.2131
Te8 Te 0.3333 0.6667 0.4175
Te9 Te 0.3333 0.6667 0.6215
Te10 Te 0.3333 0.6667 0.8254
```

---

(6)
For MnTlHgTe3, a structure optimized by DFT (PBE) gives the simulated X-ray powder pattern in this record (Cu Kα, 1.54184 Å).
Kinematic intensities with the Lorentz-polarization factor, no thermal factor.

Peak list (10 most intense, 15 to 90 degrees two-theta, sorted by position)
two_theta, I (rel.)
26.8, 470
28.3, 388
30.4, 596
31.5, 415
32.3, 932
32.6, 1000
35.2, 473
47.1, 429
52.0, 363
58.5, 380

Crystal structure
```
data_MnTlHgTe3
_chemical_formula_sum 'Mn2 Tl2 Hg2 Te6'
_space_group_name_H-M_alt 'P 1 21/m 1'
_space_group_IT_number 11
_space_group_name_Hall '-P 2yb'
_cell_length_a 8.420
_cell_length_b 3.859
_cell_length_c 10.989
_cell_angle_alpha 90.00
_cell_angle_beta 92.03
_cell_angle_gamma 90.00
loop_
_atom_site_label
_atom_site_type_symbol
_atom_site_fract_x
_atom_site_fract_y
_atom_site_fract_z
Mn1 Mn 0.143 0.250 0.116
Tl1 Tl 0.216 0.750 0.608
Hg1 Hg 0.480 0.750 0.349
Te1 Te 0.082 0.250 0.873
Te2 Te 0.168 0.250 0.354
Te3 Te 0.353 0.750 0.081
```